Entry 1:
This entry pairs a crystal structure of BaSr2I6 with its theoretical PXRD pattern. Radiation: λ = 1.5418 Å (Cu Kα). Structure: a cell relaxed with GGA-PBE.

Peak list (10 most intense, 2θ = 10–90°, in order of falling intensity)
Position (°2θ)  I (rel.)
24.25  100
31.71  56
37.21  42
16.86  28
41.51  24
61.92  18
44.91  18
49.67  15
59.69  15
63.67  14

```
BaSr2I6
1.0
8.3710 0.0000 0.0000
-4.1855 7.2495 0.0000
0.0000 0.0000 7.6404
Ba Sr I
1 2 6
direct
0.0000 0.0000 0.0000
0.3333 0.6667 0.5000
0.6667 0.3333 0.5000
0.0000 0.3459 0.2582
0.0000 0.6541 0.7418
0.3459 0.0000 0.2582
0.3459 0.3459 0.7418
0.6541 0.0000 0.7418
0.6541 0.6541 0.2582
```

Entry 2:
This entry pairs a crystal structure of BaSr2I6 with its theoretical PXRD pattern. Radiation: λ = 1.5418 Å (Cu Kα). Structure: a cell relaxed with GGA-PBE.

Peak list (10 most intense, 2θ = 10–90°, in order of falling intensity)
Position (°2θ)  I (rel.)
30.93  100
55.02  36
21.74  22
18.80  20
44.35  12
89.71  11
36.44  11
64.46  11
73.27  9
49.88  8

```
BaSr2I6
1.0
8.1705 0.0000 0.0000
0.0000 8.1705 0.0000
0.0000 0.0000 24.5663
Ba Sr I
4 8 24
direct
0.0000 0.0000 0.0000
0.0000 0.5000 0.5000
0.5000 0.0000 0.5000
0.5000 0.5000 0.0000
0.0000 0.0000 0.3313
0.0000 0.0000 0.6687
0.0000 0.5000 0.1680
0.0000 0.5000 0.8320
0.5000 0.0000 0.1680
0.5000 0.0000 0.8320
0.5000 0.5000 0.3313
0.5000 0.5000 0.6687
0.2336 0.2417 0.5867
0.2346 0.2565 0.0868
0.2352 0.7347 0.2505
0.2347 0.7352 0.7495
0.2417 0.7664 0.4133
0.2435 0.2654 0.9132
0.2565 0.7654 0.9132
0.2583 0.2664 0.4133
0.2648 0.2347 0.2505
0.2653 0.2352 0.7495
0.2654 0.7565 0.0868
0.2664 0.7417 0.5867
0.7336 0.2583 0.5867
0.7346 0.2435 0.0868
0.7352 0.7653 0.2505
0.7347 0.7648 0.7495
0.7417 0.7336 0.4133
0.7435 0.2346 0.9132
0.7565 0.7346 0.9132
0.7583 0.2336 0.4133
0.7648 0.2653 0.2505
0.7653 0.2648 0.7495
0.7654 0.7435 0.0868
0.7664 0.7583 0.5867
```

Entry 3:
This entry pairs a crystal structure of BaSr2I6 with its theoretical PXRD pattern. Radiation: λ = 1.5418 Å (Cu Kα). Structure: a cell relaxed with GGA-PBE.

Peak list (10 most intense, 2θ = 10–90°, in order of falling intensity)
Position (°2θ)  I (rel.)
30.81  100
30.58  95
28.12  72
21.49  47
35.14  45
24.09  45
18.16  42
45.28  37
30.14  26
25.93  24

```
BaSr2I6
1.0
8.5031 0.0000 0.0000
0.0000 8.2799 0.0000
-1.0502 0.0000 24.7666
Ba Sr I
4 8 24
direct
0.1667 0.0385 0.0940
0.1667 0.4615 0.5940
0.8333 0.5385 0.4060
0.8333 0.9615 0.9060
0.2323 0.5382 0.2430
0.2323 0.9618 0.7430
0.3383 0.5299 0.9072
0.3383 0.9701 0.4072
0.6617 0.0299 0.5928
0.6617 0.4701 0.0928
0.7677 0.0382 0.2570
0.7677 0.4618 0.7570
0.0452 0.6950 0.8199
0.0452 0.8050 0.3199
0.1044 0.2142 0.8397
0.1044 0.2858 0.3397
0.1389 0.7136 0.4821
0.1389 0.7864 0.9821
0.3677 0.1945 0.5171
0.3677 0.3055 0.0171
0.4041 0.7266 0.1455
0.4041 0.7734 0.6455
0.4646 0.2392 0.1868
0.4646 0.2608 0.6868
0.5354 0.7392 0.3132
0.5354 0.7608 0.8132
0.5959 0.2266 0.3545
0.5959 0.2734 0.8545
0.6323 0.6945 0.9829
0.6323 0.8055 0.4829
0.8611 0.2136 0.0179
0.8611 0.2864 0.5179
0.8956 0.7142 0.6603
0.8956 0.7858 0.1603
0.9548 0.1950 0.6801
0.9548 0.3050 0.1801
```

Entry 4:
This entry pairs a crystal structure of BaSr2I6 with its theoretical PXRD pattern. Radiation: λ = 1.5418 Å (Cu Kα). Structure: a cell relaxed with GGA-PBE.

Peak list (10 most intense, 2θ = 10–90°, in order of falling intensity)
Position (°2θ)  I (rel.)
25.22  100
26.30  83
26.15  77
26.65  66
22.62  65
32.69  64
35.01  50
28.22  43
37.25  41
18.18  40

```
BaSr2I6
1.0
9.3668 -4.2211 0.0000
9.3668 4.2211 0.0000
-4.9763 0.0000 10.9449
Ba Sr I
2 4 12
direct
0.0537 0.9463 0.7500
0.9463 0.0537 0.2500
0.3042 0.4156 0.3626
0.4156 0.3042 0.8626
0.5844 0.6958 0.1374
0.6958 0.5844 0.6374
0.0791 0.2923 0.7833
0.2113 0.7250 0.0125
0.2232 0.5040 0.6298
0.2750 0.7887 0.4875
0.2923 0.0791 0.2833
0.4960 0.7768 0.8702
0.5040 0.2232 0.1298
0.7077 0.9209 0.7167
0.7250 0.2113 0.5125
0.7768 0.4960 0.3702
0.7887 0.2750 0.9875
0.9209 0.7077 0.2167
```

Entry 5:
This entry pairs a crystal structure of BaSr2I6 with its theoretical PXRD pattern. Radiation: λ = 1.5418 Å (Cu Kα). Structure: a cell relaxed with GGA-PBE.

Peak list (10 most intense, 2θ = 10–90°, in order of falling intensity)
Position (°2θ)  I (rel.)
23.66  100
30.84  56
38.54  53
15.89  43
25.25  36
32.09  31
60.55  22
35.27  21
66.41  19
48.42  19

```
BaSr2I6
1.0
7.8882 0.0000 0.0000
0.0000 7.8882 0.0000
0.0000 0.0000 15.2687
Ba Sr I
2 4 12
direct
0.0000 0.0000 0.0000
0.5000 0.5000 0.5000
0.0000 0.0000 0.3322
0.0000 0.0000 0.6678
0.5000 0.5000 0.1678
0.5000 0.5000 0.8322
0.1895 0.1895 0.5000
0.2017 0.2017 0.1734
0.2017 0.2017 0.8266
0.2983 0.7017 0.3266
0.2983 0.7017 0.6734
0.3105 0.6895 0.0000
0.6895 0.3105 0.0000
0.7017 0.2983 0.3266
0.7017 0.2983 0.6734
0.7983 0.7983 0.1734
0.7983 0.7983 0.8266
0.8105 0.8105 0.5000
```

Entry 6:
This entry pairs a crystal structure of BaSr2I6 with its theoretical PXRD pattern. Radiation: λ = 1.5418 Å (Cu Kα). Structure: a cell relaxed with GGA-PBE.

Peak list (10 most intense, 2θ = 10–90°, in order of falling intensity)
Position (°2θ)  I (rel.)
24.50  100
31.93  48
23.82  46
36.79  41
31.40  33
18.19  25
41.71  23
38.16  23
62.63  18
14.94  18

```
BaSr2I6
1.0
7.6274 0.0000 0.0000
0.0000 28.2983 0.0000
0.0000 0.0000 8.5691
Ba Sr I
4 8 24
direct
0.0000 0.1190 0.2500
0.0000 0.8810 0.7500
0.5000 0.3810 0.7500
0.5000 0.6190 0.2500
0.0000 0.2147 0.7500
0.0000 0.4527 0.2500
0.0000 0.5473 0.7500
0.0000 0.7853 0.2500
0.5000 0.0473 0.7500
0.5000 0.2853 0.2500
0.5000 0.7147 0.7500
0.5000 0.9527 0.2500
0.2352 0.4651 0.5705
0.2352 0.5349 0.0705
0.2412 0.1289 0.5917
0.2412 0.8711 0.0917
0.2502 0.2064 0.0661
0.2498 0.2936 0.5661
0.2498 0.7064 0.0661
0.2502 0.7936 0.5661
0.2588 0.3711 0.0917
0.2588 0.6289 0.5917
0.2648 0.0349 0.0705
0.2648 0.9651 0.5705
0.7352 0.0349 0.4295
0.7352 0.9651 0.9295
0.7412 0.3711 0.4083
0.7412 0.6289 0.9083
0.7498 0.2064 0.4339
0.7502 0.2936 0.9339
0.7502 0.7064 0.4339
0.7498 0.7936 0.9339
0.7588 0.1289 0.9083
0.7588 0.8711 0.4083
0.7648 0.4651 0.9295
0.7648 0.5349 0.4295
```